[1]
# Zn2Fe2O5
Theoretical X-ray powder pattern, Cu Kα (weighted mean of Kα1 and Kα2). Input: DFT lattice parameters and positions (PBE+U).
Lines closer than 0.1° are merged.

Crystal structure
Cell: 7.6231 10.2675 3.2916 Å, 90.00 90.00 90.00°
Positions (direct):
Zn 0.0904 0.1296 0.0000
Zn 0.4096 0.6296 0.0000
Zn 0.5904 0.3704 0.0000
Zn 0.9096 0.8704 0.0000
Fe 0.1951 0.3976 0.5000
Fe 0.3049 0.8976 0.5000
Fe 0.6951 0.1024 0.5000
Fe 0.8049 0.6024 0.5000
O 0.0000 0.5000 0.5000
O 0.1434 0.2183 0.5000
O 0.1679 0.9363 0.0000
O 0.3321 0.4363 0.0000
O 0.3566 0.7183 0.5000
O 0.5000 0.0000 0.5000
O 0.6434 0.2817 0.5000
O 0.6679 0.5637 0.0000
O 0.8321 0.0637 0.0000
O 0.8566 0.7817 0.5000

Largest 6 diffraction maxima, in order of rising 2θ, 15° ≤ 2θ ≤ 90°:
index  d_spacing  two_theta  intensity
2 1 0  3.573  24.92  1000
1 3 0  3.122  28.59  277
1 1 1  2.899  30.84  906
1 2 1  2.604  34.44  762
0 4 0  2.567  34.96  323
3 2 0  2.277  39.57  465

[2]
# V4Cu13O26F4
Theoretical X-ray powder pattern, Cu Kα (weighted mean of Kα1 and Kα2). Input: DFT lattice parameters and positions (PBE+U).
Lines closer than 0.1° are merged.

Crystal structure
Cell: 5.6373 10.4930 11.0911 Å, 106.61 103.24 97.04°
Positions (direct):
V 0.0010 0.2978 0.1531
V 0.2356 0.6864 0.3361
V 0.7644 0.3136 0.6639
V 0.9990 0.7022 0.8469
Cu 0.0000 0.0000 0.5000
Cu 0.0000 0.5000 0.5000
Cu 0.1327 0.9816 0.7846
Cu 0.2459 0.4973 0.9996
Cu 0.2932 0.0100 0.0797
Cu 0.3783 0.5075 0.7555
Cu 0.4527 0.9637 0.3136
Cu 0.5000 0.5000 0.5000
Cu 0.5473 0.0363 0.6864
Cu 0.6217 0.4925 0.2445
Cu 0.7068 0.9900 0.9203
Cu 0.7541 0.5027 0.0004
Cu 0.8673 0.0184 0.2154
O 0.0102 0.6088 0.9631
O 0.0562 0.3562 0.7599
O 0.0725 0.8912 0.9094
O 0.1464 0.9437 0.1928
O 0.1831 0.6415 0.7482
O 0.2211 0.0661 0.6641
O 0.2555 0.6038 0.4637
O 0.2693 0.4322 0.5724
O 0.2871 0.3406 0.2523
O 0.3281 0.8653 0.4059
O 0.4161 0.6224 0.2350
O 0.4327 0.9227 0.7688
O 0.4848 0.5777 0.9396
O 0.5152 0.4223 0.0604
O 0.5673 0.0773 0.2312
O 0.5839 0.3776 0.7650
O 0.6719 0.1347 0.5941
O 0.7129 0.6594 0.7477
O 0.7307 0.5678 0.4276
O 0.7445 0.3962 0.5363
O 0.7789 0.9339 0.3359
O 0.8169 0.3585 0.2518
O 0.8536 0.0563 0.8072
O 0.9275 0.1088 0.0906
O 0.9438 0.6438 0.2401
O 0.9898 0.3912 0.0369
F 0.1357 0.1350 0.4500
F 0.4120 0.1207 0.9931
F 0.5880 0.8793 0.0069
F 0.8643 0.8650 0.5500

Largest 6 diffraction maxima, in order of rising 2θ, 15° ≤ 2θ ≤ 90°:
index  d_spacing  two_theta  intensity
0 2 0  4.924  18.01  1000
0 1 2  4.029  22.06  200
-1 2 2  3.092  28.88  136
-2 2 1  2.570  34.92  293
2 1 -3  2.425  37.08  161
0 2 4  2.014  45.01  162